(1)
Diffraction record for Th4CuRe. The X-ray diffraction stick pattern is simulated, not measured: it uses a cell relaxed with GGA-PBE and Cu Kα, 1.54184 Å.
Lines closer than 0.1° are merged.

Structural model:
abc: 7.2668 7.2668 6.0025
angles: 90.00 90.00 90.00
Space group P4/mcc (No. 124)
One atom of each set of equivalent atoms:
Th 0.1566 0.3260 0.0000
Cu 0.5000 0.5000 0.2500
Re 0.0000 0.0000 0.2500

Top 12 peaks for 10° ≤ 2θ ≤ 90°, most intense first:
- hkl 2 1 1, 31.30°, intensity 100
- hkl 3 1 0, 39.20°, intensity 30
- hkl 2 0 2, 38.92°, intensity 29
- hkl 2 1 3, 53.80°, intensity 23
- hkl 3 3 2, 62.43°, intensity 20
- hkl 1 1 2, 34.61°, intensity 20
- hkl 4 1 1, 54.24°, intensity 20
- hkl 0 0 2, 29.77°, intensity 13
- hkl 1 0 0, 12.18°, intensity 12
- hkl 4 0 2, 59.48°, intensity 9
- hkl 5 2 1, 71.68°, intensity 9
- hkl 3 1 4, 75.70°, intensity 9

(2)
Diffraction record for V3CuRe. The X-ray diffraction stick pattern is simulated, not measured: it uses a cell relaxed with GGA-PBE and Cu Kα, 1.54184 Å.
Lines closer than 0.1° are merged.

Structural model:
abc: 4.3016 4.3016 4.3016
angles: 90.00 90.00 90.00
Space group Pm-3m (No. 221)
One atom of each set of equivalent atoms:
V 0.0000 0.0000 0.5000
Cu 0.0000 0.0000 0.0000
Re 0.5000 0.5000 0.5000

Top 12 peaks for 10° ≤ 2θ ≤ 90°, most intense first:
- hkl 1 1 0, 29.36°, intensity 100
- hkl 2 0 0, 42.01°, intensity 75
- hkl 1 1 1, 36.17°, intensity 66
- hkl 2 2 0, 60.92°, intensity 48
- hkl 2 1 1, 52.08°, intensity 42
- hkl 3 1 1, 72.94°, intensity 24
- hkl 3 2 1, 84.22°, intensity 21
- hkl 3 1 0, 69.05°, intensity 18
- hkl 2 2 2, 76.75°, intensity 16
- hkl 1 0 0, 20.65°, intensity 11
- hkl 2 1 0, 47.25°, intensity 6
- hkl 3 0 0, 65.05°, intensity 4

(3)
Diffraction record for YCuRe. The X-ray diffraction stick pattern is simulated, not measured: it uses a cell relaxed with GGA-PBE and Cu Kα, 1.54184 Å.
Lines closer than 0.1° are merged.

Structural model:
abc: 3.3354 3.3492 9.8310
angles: 90.00 90.00 90.00
Space group Imm2 (No. 44)
One atom of each set of equivalent atoms:
Y 0.0000 0.0000 0.0000
Cu 0.0000 0.0000 0.2985
Re 0.0000 0.0000 0.6953

Top 12 peaks for 10° ≤ 2θ ≤ 90°, most intense first:
- hkl 1 0 3, 38.47°, intensity 100
- hkl 1 1 0, 38.08°, intensity 64
- hkl 0 0 2, 18.05°, intensity 30
- hkl 1 2 3, 68.99°, intensity 18
- hkl 2 1 3, 69.15°, intensity 17
- hkl 1 1 4, 53.81°, intensity 14
- hkl 1 1 2, 42.44°, intensity 14
- hkl 0 1 1, 28.15°, intensity 14
- hkl 1 0 1, 28.25°, intensity 13
- hkl 1 0 7, 73.08°, intensity 13
- hkl 0 2 0, 54.82°, intensity 11
- hkl 2 0 0, 55.07°, intensity 11

(4)
Diffraction record for ZnCuRe2. The X-ray diffraction stick pattern is simulated, not measured: it uses a cell relaxed with GGA-PBE and Cu Kα, 1.54184 Å.
Lines closer than 0.1° are merged.

Structural model:
abc: 2.9927 2.9927 6.4224
angles: 90.00 90.00 90.00
Space group P4mm (No. 99)
One atom of each set of equivalent atoms:
Zn 0.0000 0.0000 0.0000
Cu 0.5000 0.5000 0.2134
Re 0.0000 0.0000 0.4888
Re 0.5000 0.5000 0.7146

Top 12 peaks for 10° ≤ 2θ ≤ 90°, most intense first:
- hkl 1 0 2, 41.23°, intensity 100
- hkl 1 1 0, 42.73°, intensity 47
- hkl 0 0 1, 13.79°, intensity 40
- hkl 2 1 2, 77.22°, intensity 31
- hkl 1 0 1, 33.02°, intensity 17
- hkl 1 1 4, 74.13°, intensity 16
- hkl 2 0 0, 62.02°, intensity 15
- hkl 2 0 4, 89.54°, intensity 10
- hkl 1 1 1, 45.11°, intensity 9
- hkl 0 0 4, 57.39°, intensity 9
- hkl 1 0 3, 52.56°, intensity 7
- hkl 2 1 3, 85.58°, intensity 4

(5)
Diffraction record for Zr3Cu2Re. The X-ray diffraction stick pattern is simulated, not measured: it uses a cell relaxed with GGA-PBE and Cu Kα, 1.54184 Å.
Lines closer than 0.1° are merged.

Structural model:
abc: 4.6876 13.9062 3.2930
angles: 90.00 90.00 90.00
Space group Cmmm (No. 65)
One atom of each set of equivalent atoms:
Zr 0.0000 0.0000 0.0000
Zr 0.0000 0.3365 0.0000
Cu 0.0000 0.1654 0.5000
Re 0.0000 0.5000 0.5000

Top 12 peaks for 10° ≤ 2θ ≤ 90°, most intense first:
- hkl 1 3 1, 38.65°, intensity 100
- hkl 2 0 0, 38.41°, intensity 25
- hkl 0 0 2, 55.80°, intensity 25
- hkl 0 6 0, 38.86°, intensity 25
- hkl 3 3 1, 69.62°, intensity 17
- hkl 1 9 1, 70.22°, intensity 16
- hkl 0 2 0, 12.73°, intensity 15
- hkl 2 6 2, 82.88°, intensity 10
- hkl 1 1 0, 19.99°, intensity 10
- hkl 2 0 2, 69.81°, intensity 8
- hkl 0 6 2, 70.11°, intensity 8
- hkl 1 1 1, 33.89°, intensity 5

(6)
Diffraction record for Cu2Rh3. The X-ray diffraction stick pattern is simulated, not measured: it uses a cell relaxed with GGA-PBE and Cu Kα, 1.54184 Å.
Lines closer than 0.1° are merged.

Structural model:
abc: 2.7005 2.7005 32.2509
angles: 90.00 90.00 120.00
Space group R-3m (No. 166, hexagonal axes)
One atom of each set of equivalent atoms:
Cu 0.0000 0.0000 0.1005
Rh 0.0000 0.0000 0.2996
Rh 0.0000 0.0000 0.5000

Top 12 peaks for 10° ≤ 2θ ≤ 90°, most intense first:
- hkl 0 1 5, 41.05°, intensity 100
- hkl 1 0 10, 48.06°, intensity 63
- hkl 0 0 15, 42.02°, intensity 31
- hkl 1 1 15, 84.78°, intensity 23
- hkl 1 1 0, 69.63°, intensity 20
- hkl 0 1 20, 71.00°, intensity 19
- hkl 2 0 5, 84.14°, intensity 12
- hkl 1 0 25, 86.08°, intensity 11
- hkl 0 2 10, 89.06°, intensity 10
- hkl 0 0 6, 16.49°, intensity 6
- hkl 0 0 9, 24.85°, intensity 2
- hkl 1 0 1, 38.60°, intensity 2

(7)
Diffraction record for Cu3Rh. The X-ray diffraction stick pattern is simulated, not measured: it uses a cell relaxed with GGA-PBE and Cu Kα, 1.54184 Å.
Lines closer than 0.1° are merged.

Structural model:
abc: 2.6042 3.6350 5.3400
angles: 90.00 90.00 90.00
Space group Pmmm (No. 47)
One atom of each set of equivalent atoms:
Cu 0.0000 0.0000 0.0000
Cu 0.5000 0.5000 0.2412
Rh 0.0000 0.0000 0.5000

Top 12 peaks for 10° ≤ 2θ ≤ 90°, most intense first:
- hkl 0 1 2, 41.99°, intensity 100
- hkl 1 1 0, 42.71°, intensity 96
- hkl 1 0 2, 48.85°, intensity 63
- hkl 2 0 0, 72.64°, intensity 45
- hkl 0 2 0, 50.20°, intensity 29
- hkl 1 1 4, 86.11°, intensity 22
- hkl 2 1 2, 87.58°, intensity 22
- hkl 0 3 2, 88.65°, intensity 11
- hkl 1 3 0, 89.14°, intensity 10
- hkl 0 0 4, 70.55°, intensity 10
- hkl 0 1 1, 29.73°, intensity 5
- hkl 0 0 1, 16.60°, intensity 5

(8)
Diffraction record for Cu5Rh3. The X-ray diffraction stick pattern is simulated, not measured: it uses a cell relaxed with GGA-PBE and Cu Kα, 1.54184 Å.
Lines closer than 0.1° are merged.

Structural model:
abc: 5.2937 5.2937 12.8583
angles: 90.00 90.00 120.00
Space group R-3m (No. 166, hexagonal axes)
One atom of each set of equivalent atoms:
Cu 0.0000 0.0000 0.0000
Cu 0.0000 0.0000 0.5000
Cu 0.0000 0.5000 0.0000
Rh 0.0000 0.5000 0.5000

Top 12 peaks for 10° ≤ 2θ ≤ 90°, most intense first:
- hkl 2 0 2, 41.84°, intensity 100
- hkl 0 2 4, 48.80°, intensity 63
- hkl 0 0 6, 42.17°, intensity 33
- hkl 2 2 6, 86.42°, intensity 22
- hkl 2 2 0, 71.26°, intensity 19
- hkl 2 0 8, 71.72°, intensity 19
- hkl 0 4 2, 86.20°, intensity 11
- hkl 0 2 10, 86.86°, intensity 11
- hkl 0 0 3, 20.72°, intensity 6
- hkl 0 2 1, 39.97°, intensity 4
- hkl 1 0 1, 20.57°, intensity 2
- hkl 2 0 5, 53.56°, intensity 1